No. 1
# CuH6Se2O8
Theoretical XRD peak list, Cu Kα. Input: DFT lattice parameters and positions (PBE).
Kinematic intensities with the Lorentz-polarization factor, no thermal factor.

Cell and atoms:
Cell: 6.391 6.372 9.194 Å, 90.00 91.15 90.00°
Space group P2_1/c (No. 14)
Symmetry-distinct sites (fractional):
1 Cu 0.000 0.000 0.000 x2
2 H 0.240 0.055 0.461 x4
3 H 0.372 0.201 0.568 x4
4 H 0.427 0.232 0.833 x4
5 Se 0.230 0.727 0.244 x4
6 O 0.098 0.546 0.699 x4
7 O 0.193 0.726 0.429 x4
8 O 0.296 0.198 0.472 x4
9 O 0.496 0.674 0.755 x4

Principal peaks in the range 2θ from 10° to 80°, by angle:
| hkl | two_theta | I (rel.) |
| --- | --- | --- |
| 1 1 0 | 19.68 | 100.0 |
| 1 1 -2 | 27.50 | 48.9 |
| 1 1 2 | 27.91 | 60.7 |
| 0 2 2 | 34.25 | 29.8 |
| 0 0 4 | 39.20 | 27.2 |
| 2 2 0 | 39.97 | 38.9 |



No. 2
# ZnCr4CuSe8
Theoretical XRD peak list, Cu Kα. Input: DFT lattice parameters and positions (PBE).
Kinematic intensities with the Lorentz-polarization factor, no thermal factor.

Cell and atoms:
Cell: 10.502 10.502 10.502 Å, 90.00 90.00 90.00°
Space group F-43m (No. 216)
Symmetry-distinct sites (fractional):
1 Zn 0.000 0.000 0.000 x4
2 Cr 0.123 0.123 0.623 x16
3 Cu 0.250 0.250 0.250 x4
4 Se 0.117 0.117 0.383 x16
5 Se 0.135 0.135 0.865 x16

Principal peaks in the range 2θ from 10° to 80°, by angle:
| hkl | two_theta | I (rel.) |
| --- | --- | --- |
| 3 1 1 | 28.18 | 38.0 |
| 2 2 2 | 29.46 | 51.6 |
| 4 0 0 | 34.15 | 75.9 |
| 5 1 1 | 44.84 | 31.6 |
| 4 4 0 | 49.07 | 100.0 |
| 6 2 2 | 58.28 | 19.9 |



No. 3
# Pm3Al2Pd6
Theoretical XRD peak list, Cu Kα. Input: DFT lattice parameters and positions (PBE).
Kinematic intensities with the Lorentz-polarization factor, no thermal factor.

Cell and atoms:
Cell: 9.588 9.588 9.588 Å, 90.00 90.00 90.00°
Space group Im-3m (No. 229)
Symmetry-distinct sites (fractional):
1 Pm 0.000 0.000 0.293 x12
2 Al 0.250 0.250 0.250 x8
3 Pd 0.000 0.327 0.327 x24

Principal peaks in the range 2θ from 10° to 80°, by angle:
| hkl | two_theta | I (rel.) |
| --- | --- | --- |
| 2 2 0 | 26.29 | 15.0 |
| 3 1 0 | 29.46 | 22.7 |
| 3 2 1 | 35.02 | 27.8 |
| 3 3 0 | 39.89 | 100.0 |
| 5 3 2 | 59.43 | 17.0 |
| 6 3 3 | 72.44 | 25.1 |



No. 4
# LiFe2Pd7
Theoretical XRD peak list, Cu Kα. Input: DFT lattice parameters and positions (PBE).
Kinematic intensities with the Lorentz-polarization factor, no thermal factor.

Cell and atoms:
Cell: 7.200 12.268 4.276 Å, 90.00 90.00 90.00°
Space group Cmmm (No. 65)
Symmetry-distinct sites (fractional):
1 Li 0.000 0.000 0.000 x2
2 Fe 0.000 0.298 0.500 x4
3 Pd 0.000 0.207 0.000 x4
4 Pd 0.000 0.500 0.500 x2
5 Pd 0.189 0.115 0.500 x8

Principal peaks in the range 2θ from 10° to 80°, by angle:
| hkl | two_theta | I (rel.) |
| --- | --- | --- |
| 0 0 1 | 20.77 | 100.0 |
| 1 3 0 | 25.04 | 43.2 |
| 2 4 0 | 38.56 | 64.5 |
| 0 0 2 | 42.27 | 61.4 |
| 3 1 1 | 43.88 | 71.7 |
| 1 5 1 | 44.39 | 94.0 |



No. 5
# CeS6Cl2
Theoretical XRD peak list, Cu Kα. Input: DFT lattice parameters and positions (PBE).
Kinematic intensities with the Lorentz-polarization factor, no thermal factor.

Cell and atoms:
Cell: 4.448 8.042 8.112 Å, 118.39 94.80 94.37°
Space group P-1 (No. 2)
Symmetry-distinct sites (fractional):
1 Ce 0.000 0.000 0.000 x1
2 S 0.074 0.443 0.208 x2
3 S 0.076 0.205 0.440 x2
4 S 0.332 0.336 0.336 x2
5 Cl 0.499 0.124 0.880 x2

Principal peaks in the range 2θ from 10° to 80°, by angle:
| hkl | two_theta | I (rel.) |
| --- | --- | --- |
| 0 0 1 | 12.52 | 23.1 |
| 0 1 0 | 12.62 | 22.7 |
| 0 1 -1 | 12.76 | 100.0 |
| 1 -1 0 | 22.37 | 25.3 |
| 0 1 2 | 33.47 | 23.9 |
| 0 2 1 | 33.59 | 22.6 |



No. 6
# Rb2GaPdO4
Theoretical XRD peak list, Cu Kα. Input: DFT lattice parameters and positions (PBE).
Kinematic intensities with the Lorentz-polarization factor, no thermal factor.

Cell and atoms:
Cell: 5.756 13.131 19.312 Å, 90.00 90.00 90.00°
Space group Fddd (No. 70, origin choice 2)
Symmetry-distinct sites (fractional):
1 Rb 0.125 0.125 0.303 x16
2 Ga 0.125 0.125 0.625 x8
3 Pd 0.125 0.125 0.125 x8
4 O 0.112 0.282 0.850 x32

Principal peaks in the range 2θ from 10° to 80°, by angle:
| hkl | two_theta | I (rel.) |
| --- | --- | --- |
| 0 2 2 | 16.33 | 39.8 |
| 0 0 4 | 18.38 | 57.8 |
| 0 4 0 | 27.16 | 52.1 |
| 0 2 6 | 30.94 | 100.0 |
| 2 2 0 | 34.01 | 66.6 |
| 2 4 6 | 50.84 | 50.4 |